Diffraction record for SrHg11. The powder diffraction line list is simulated, not measured: it uses a crystal structure in Alexandria, relaxed with PBE and CuKα.
Lines closer than 0.1° are merged.

Structural model:
```
36
Lattice="10.021 0.000 0.000 0.000 10.021 0.000 0.000 0.000 10.021" Properties=species:S:1:pos:R:3 pbc="T T T"
Sr 0.000 0.000 5.011
Sr 0.000 5.011 0.000
Sr 5.011 0.000 0.000
Hg 0.000 3.443 3.443
Hg 0.000 3.443 6.578
Hg 0.000 6.578 3.443
Hg 0.000 6.578 6.578
Hg 1.534 1.534 1.534
Hg 1.534 1.534 8.488
Hg 1.534 8.488 1.534
Hg 1.534 8.488 8.488
Hg 2.654 2.654 5.011
Hg 2.654 5.011 2.654
Hg 2.654 5.011 7.368
Hg 2.654 7.368 5.011
Hg 3.443 0.000 3.443
Hg 3.443 0.000 6.578
Hg 3.443 3.443 0.000
Hg 3.443 6.578 0.000
Hg 5.011 2.654 2.654
Hg 5.011 2.654 7.368
Hg 5.011 5.011 5.011
Hg 5.011 7.368 2.654
Hg 5.011 7.368 7.368
Hg 6.578 0.000 3.443
Hg 6.578 0.000 6.578
Hg 6.578 3.443 0.000
Hg 6.578 6.578 0.000
Hg 7.368 2.654 5.011
Hg 7.368 5.011 2.654
Hg 7.368 5.011 7.368
Hg 7.368 7.368 5.011
Hg 8.488 1.534 1.534
Hg 8.488 1.534 8.488
Hg 8.488 8.488 1.534
Hg 8.488 8.488 8.488
```

The 6 most intense peaks (2θ from 5° to 70°), low angle first:
| 2theta | Rel. int. |
| --- | --- |
| 29.6 | 45 |
| 30.9 | 52 |
| 37.0 | 100 |
| 38.1 | 66 |
| 41.3 | 37 |
| 59.0 | 36 |